# 1
Simulated powder X-ray diffraction pattern of Mo2CO for CuKα, from a DFT-relaxed cell (GGA+U, Alexandria).

The 8 most intense peaks (2θ = 10–90°), sorted by position:
31.9 deg, 2.805 Å, intensity 100; 36.8 deg, 2.443 Å, intensity 24; 37.5 deg, 2.401 Å, intensity 12; 53.0 deg, 1.727 Å, intensity 14; 53.5 deg, 1.712 Å, intensity 27; 63.2 deg, 1.471 Å, intensity 26; 64.1 deg, 1.452 Å, intensity 13; 87.8 deg, 1.112 Å, intensity 11

Structure:
a b c (Å): 5.9159 5.9159 5.9159
angles (deg): 131.22 131.22 71.47
Positions (direct):
Mo 0.1163 0.6250 0.9913
Mo 0.3750 0.3663 0.4913
Mo 0.6337 0.1250 0.0087
Mo 0.8750 0.8837 0.5087
C 0.0000 0.0000 0.0000
C 0.7500 0.2500 0.5000
O 0.2500 0.7500 0.5000
O 0.5000 0.5000 0.0000

# 2
Simulated powder X-ray diffraction pattern of RbMoC2O8 for CuKα, from a DFT-relaxed cell (GGA+U, Alexandria).

The 8 most intense peaks (2θ = 10–90°), sorted by position:
10.6 deg, 8.318 Å, intensity 60; 20.8 deg, 4.263 Å, intensity 100; 21.4 deg, 4.159 Å, intensity 43; 22.1 deg, 4.014 Å, intensity 71; 29.5 deg, 3.028 Å, intensity 96; 30.5 deg, 2.929 Å, intensity 69; 38.1 deg, 2.363 Å, intensity 45; 48.0 deg, 1.895 Å, intensity 35

Structure:
a b c (Å): 4.7442 4.7442 8.3348
angles (deg): 93.04 93.04 64.05
Positions (direct):
Rb 0.0000 0.0000 0.0000
Mo 0.0000 0.0000 0.5000
C 0.3651 0.3651 0.6911
C 0.6349 0.6349 0.3089
O 0.2254 0.2254 0.5715
O 0.2389 0.6874 0.6617
O 0.3126 0.7611 0.3383
O 0.3181 0.3181 0.8380
O 0.6819 0.6819 0.1620
O 0.6874 0.2389 0.6617
O 0.7611 0.3126 0.3383
O 0.7746 0.7746 0.4285

Please write out number 2 again, unchanged.
Simulated powder X-ray diffraction pattern of RbMoC2O8 for CuKα, from a DFT-relaxed cell (GGA+U, Alexandria).

The 8 most intense peaks (2θ = 10–90°), sorted by position:
10.6 deg, 8.318 Å, intensity 60; 20.8 deg, 4.263 Å, intensity 100; 21.4 deg, 4.159 Å, intensity 43; 22.1 deg, 4.014 Å, intensity 71; 29.5 deg, 3.028 Å, intensity 96; 30.5 deg, 2.929 Å, intensity 69; 38.1 deg, 2.363 Å, intensity 45; 48.0 deg, 1.895 Å, intensity 35

Structure:
a b c (Å): 4.7442 4.7442 8.3348
angles (deg): 93.04 93.04 64.05
Positions (direct):
Rb 0.0000 0.0000 0.0000
Mo 0.0000 0.0000 0.5000
C 0.3651 0.3651 0.6911
C 0.6349 0.6349 0.3089
O 0.2254 0.2254 0.5715
O 0.2389 0.6874 0.6617
O 0.3126 0.7611 0.3383
O 0.3181 0.3181 0.8380
O 0.6819 0.6819 0.1620
O 0.6874 0.2389 0.6617
O 0.7611 0.3126 0.3383
O 0.7746 0.7746 0.4285